Simulated PXRD pattern
Compound: BaLa2MgTl4
Radiation: Cu Kα X-rays
Structure: a cell relaxed with PBE
Peak positions follow from Bragg's law for the DFT cell and can differ from measured ones.

```
8
Lattice="2.724 1.573 10.394 -2.724 1.573 10.394 0.000 -3.146 10.394" Properties=species:S:1:pos:R:3 pbc="T T T"
Ba 0.000 0.000 0.000
La 0.000 0.000 7.184
La 0.000 0.000 23.997
Mg 0.000 0.000 15.590
Tl 0.000 0.000 3.879
Tl 0.000 0.000 12.304
Tl 0.000 0.000 18.877
Tl 0.000 0.000 27.301
```

Main lines, in order of rising 2θ (15 to 90 degrees two-theta):
d_spacing, two_theta, I_rel
4.037, 22.0, 21
3.763, 23.6, 21
3.005, 29.7, 74
2.724, 32.9, 100
2.601, 34.5, 13
2.430, 37.0, 20
2.018, 44.9, 26
1.622, 56.8, 25
1.573, 58.7, 19
1.549, 59.7, 12